Entry 1:
Computed X-ray powder pattern
Compound: Cd9Sn2Hg14
Radiation: Cu Kα (λ = 1.5418 Å)
Structure: a crystal structure in Alexandria, relaxed with GGA-PBE

Main lines, sorted by position (10 to 90 degrees two-theta):
2θ = 22.32°, I 30
2θ = 24.98°, I 58
2θ = 26.96°, I 58
2θ = 33.22°, I 26
2θ = 33.83°, I 82
2θ = 37.95°, I 100
2θ = 38.25°, I 78
2θ = 39.35°, I 45
2θ = 42.74°, I 37
2θ = 64.24°, I 29

Atomic structure:
abc: 7.3290 7.3290 15.3471
angles: 90.00 90.00 120.00
Element x y z (fractional)
Cd: 0.0000 0.0000 0.0000
Cd: 0.0489 0.2935 0.3348
Cd: 0.2446 0.9511 0.3348
Cd: 0.2935 0.2446 0.6652
Cd: 0.3333 0.6667 0.0289
Cd: 0.6667 0.3333 0.9711
Cd: 0.7065 0.7554 0.3348
Cd: 0.7554 0.0489 0.6652
Cd: 0.9511 0.7065 0.6652
Sn: 0.3333 0.6667 0.2293
Sn: 0.6667 0.3333 0.7707
Hg: 0.0000 0.0000 0.1893
Hg: 0.0000 0.0000 0.8107
Hg: 0.0686 0.6496 0.8786
Hg: 0.0778 0.4119 0.5648
Hg: 0.3341 0.9222 0.5648
Hg: 0.3504 0.4190 0.8786
Hg: 0.4119 0.3341 0.4352
Hg: 0.4190 0.0686 0.1214
Hg: 0.5810 0.9314 0.8786
Hg: 0.5881 0.6659 0.5648
Hg: 0.6496 0.5810 0.1214
Hg: 0.6659 0.0778 0.4352
Hg: 0.9222 0.5881 0.4352
Hg: 0.9314 0.3504 0.1214


Entry 2:
Computed X-ray powder pattern
Compound: Zr6SbS12
Radiation: Cu Kα (λ = 1.5418 Å)
Structure: a crystal structure in Alexandria, relaxed with GGA-PBE

Main lines, sorted by position (10 to 90 degrees two-theta):
2θ = 23.92°, I 100
2θ = 28.86°, I 15
2θ = 29.10°, I 39
2θ = 31.57°, I 16
2θ = 37.83°, I 26
2θ = 38.21°, I 26
2θ = 41.98°, I 18
2θ = 43.30°, I 24
2θ = 43.90°, I 27
2θ = 46.57°, I 34

Atomic structure:
abc: 7.8010 7.8010 7.8010
angles: 104.95 104.95 104.95
Element x y z (fractional)
Zr: 0.2512 0.2512 0.6474
Zr: 0.2512 0.6474 0.2512
Zr: 0.3526 0.7488 0.7488
Zr: 0.6474 0.2512 0.2512
Zr: 0.7488 0.3526 0.7488
Zr: 0.7488 0.7488 0.3526
Sb: 0.0000 0.0000 0.0000
S: 0.1267 0.5000 0.8733
S: 0.1267 0.8733 0.5000
S: 0.1739 0.4462 0.4462
S: 0.4462 0.1739 0.4462
S: 0.4462 0.4462 0.1739
S: 0.5000 0.1267 0.8733
S: 0.5000 0.8733 0.1267
S: 0.5538 0.5538 0.8261
S: 0.5538 0.8261 0.5538
S: 0.8261 0.5538 0.5538
S: 0.8733 0.1267 0.5000
S: 0.8733 0.5000 0.1267